Diffraction record for Ac2Hg13. The X-ray powder pattern is simulated, not measured: it uses the PBE geometry in Alexandria and Cu Ka.
No peak broadening, texture or thermal motion is included.

Structural model:
```
data_Ac2Hg13
_symmetry_space_group_name_H-M 'P 1'
_symmetry_Int_Tables_number 1
_cell_length_a 6.388
_cell_length_b 8.091
_cell_length_c 8.293
_cell_angle_alpha 79.54
_cell_angle_beta 84.38
_cell_angle_gamma 78.98
loop_
_symmetry_equiv_pos_as_xyz
'x,y,z'
loop_
_atom_site_label
_atom_site_type_symbol
_atom_site_fract_x
_atom_site_fract_y
_atom_site_fract_z
Ac1 Ac 0.237 0.229 0.135
Ac2 Ac 0.763 0.771 0.865
Hg1 Hg 0.022 0.634 0.216
Hg2 Hg 0.094 0.809 0.515
Hg3 Hg 0.203 0.974 0.845
Hg4 Hg 0.323 0.399 0.469
Hg5 Hg 0.324 0.576 0.844
Hg6 Hg 0.426 0.799 0.207
Hg7 Hg 0.500 0.000 0.500
Hg8 Hg 0.574 0.201 0.793
Hg9 Hg 0.676 0.424 0.156
Hg10 Hg 0.677 0.601 0.531
Hg11 Hg 0.797 0.026 0.155
Hg12 Hg 0.906 0.191 0.485
Hg13 Hg 0.978 0.366 0.784
```

Principal peaks in the range 5 to 70 degrees two-theta, most intense first:
2θ/deg, intensity
32.05, 100
32.21, 93
33.03, 89
33.98, 82
34.44, 76
34.73, 71
47.04, 32
45.11, 31
59.22, 24
58.08, 20